Diffraction record for Y2Ge2O7. The X-ray diffraction stick pattern is computed, not measured: it uses DFT lattice parameters and positions (PBE) and CuKα.

Main lines, in order of rising 2θ (10° ≤ 2θ ≤ 90°):
| 2θ/deg | d [Å] | Rel. int. | (hkl) |
| --- | --- | --- | --- |
| 26.27 | 3.393 | 42 | 1 1 1 |
| 26.51 | 3.363 | 100 | 0 2 1 |
| 28.31 | 3.153 | 53 | 2 0 -1 |
| 31.81 | 2.813 | 19 | 1 3 0 |
| 32.39 | 2.764 | 36 | 2 2 0 |
| 34.84 | 2.575 | 12 | 2 0 1 |
| 45.07 | 2.011 | 18 | 2 2 -2 |
| 51.53 | 1.774 | 23 | 1 3 2 |
| 56.28 | 1.635 | 21 | 4 2 -1 |
| 63.28 | 1.470 | 14 | 1 3 -3 |

Unit cell a=7.058 b=9.242 c=5.017 alpha=90.00 beta=102.25 gamma=90.00
Space group C2/m (No. 12)
One atom of each set of equivalent atoms:
Y: 0.000 0.194 0.000 (multiplicity 4)
Ge: 0.229 0.500 0.409 (multiplicity 4)
O: 0.000 0.500 0.500 (multiplicity 2)
O: 0.102 0.000 0.276 (multiplicity 4)
O: 0.240 0.342 0.213 (multiplicity 8)

***

Diffraction record for EuTiO3. The X-ray diffraction stick pattern is computed, not measured: it uses DFT lattice parameters and positions (PBE) and CuKα.

Main lines, in order of rising 2θ (10° ≤ 2θ ≤ 90°):
| 2θ/deg | d [Å] | Rel. int. | (hkl) |
| --- | --- | --- | --- |
| 22.41 | 3.967 | 13 | 0 0 2 |
| 22.71 | 3.916 | 27 | 1 1 0 |
| 32.12 | 2.787 | 100 | 1 1 2 |
| 32.33 | 2.769 | 52 | 2 0 0 |
| 39.70 | 2.271 | 39 | 2 0 2 |
| 45.74 | 1.984 | 17 | 0 0 4 |
| 46.38 | 1.958 | 31 | 2 2 0 |
| 57.12 | 1.612 | 20 | 2 0 4 |
| 57.53 | 1.602 | 40 | 3 1 2 |
| 67.18 | 1.393 | 19 | 2 2 4 |

Unit cell a=5.538 b=5.538 c=7.934 alpha=90.00 beta=90.00 gamma=90.00
Space group I4/mcm (No. 140)
One atom of each set of equivalent atoms:
Eu: 0.000 0.500 0.250 (multiplicity 4)
Ti: 0.000 0.000 0.000 (multiplicity 4)
O: 0.000 0.000 0.250 (multiplicity 4)
O: 0.214 0.286 0.000 (multiplicity 8)

***

Diffraction record for LiH2BrO5. The X-ray diffraction stick pattern is computed, not measured: it uses DFT lattice parameters and positions (PBE) and CuKα.

Main lines, in order of rising 2θ (10° ≤ 2θ ≤ 90°):
| 2θ/deg | d [Å] | Rel. int. | (hkl) |
| --- | --- | --- | --- |
| 15.89 | 5.578 | 100 | 0 0 2 |
| 18.66 | 4.756 | 44 | 1 1 0 |
| 19.92 | 4.457 | 50 | 4 0 0 |
| 23.43 | 3.797 | 79 | 3 1 0 |
| 24.45 | 3.641 | 43 | 1 1 -2 |
| 25.00 | 3.561 | 63 | 4 0 -2 |
| 28.05 | 3.181 | 31 | 3 1 -2 |
| 28.82 | 3.098 | 36 | 3 1 2 |
| 43.75 | 2.069 | 18 | 7 1 2 |
| 53.10 | 1.725 | 16 | 7 1 4 |

Unit cell a=17.847 b=4.935 c=11.168 alpha=90.00 beta=92.55 gamma=90.00
Space group C2/c (No. 15)
One atom of each set of equivalent atoms:
Li: 0.000 0.037 0.250 (multiplicity 4)
Li: 0.250 0.250 0.500 (multiplicity 4)
H: 0.117 0.011 0.631 (multiplicity 8)
H: 0.181 0.318 0.965 (multiplicity 8)
Br: 0.141 0.483 0.760 (multiplicity 8)
O: 0.056 0.307 0.147 (multiplicity 8)
O: 0.085 0.222 0.789 (multiplicity 8)
O: 0.102 0.135 0.075 (multiplicity 8)
O: 0.196 0.373 0.655 (multiplicity 8)
O: 0.210 0.431 0.911 (multiplicity 8)

***

Diffraction record for Mn2Sb. The X-ray diffraction stick pattern is computed, not measured: it uses DFT lattice parameters and positions (PBE) and CuKα.

Main lines, in order of rising 2θ (10° ≤ 2θ ≤ 90°):
| 2θ/deg | d [Å] | Rel. int. | (hkl) |
| --- | --- | --- | --- |
| 25.68 | 3.468 | 36 | 1 1 1 |
| 29.74 | 3.004 | 37 | 2 0 0 |
| 42.56 | 2.124 | 100 | 2 2 0 |
| 50.38 | 1.811 | 17 | 3 1 1 |
| 52.79 | 1.734 | 10 | 2 2 2 |
| 61.77 | 1.502 | 16 | 4 0 0 |
| 68.02 | 1.378 | 7 | 3 3 1 |
| 70.04 | 1.343 | 12 | 4 2 0 |
| 77.90 | 1.226 | 31 | 4 2 2 |
| 83.64 | 1.156 | 5 | 5 1 1 |

Unit cell a=6.008 b=6.008 c=6.008 alpha=90.00 beta=90.00 gamma=90.00
Space group F-43m (No. 216)
One atom of each set of equivalent atoms:
Mn: 0.000 0.000 0.000 (multiplicity 4)
Mn: 0.250 0.250 0.250 (multiplicity 4)
Sb: 0.000 0.000 0.500 (multiplicity 4)

***

Diffraction record for Sm2GeRh3. The X-ray diffraction stick pattern is computed, not measured: it uses DFT lattice parameters and positions (PBE) and CuKα.

Main lines, in order of rising 2θ (10° ≤ 2θ ≤ 90°):
| 2θ/deg | d [Å] | Rel. int. | (hkl) |
| --- | --- | --- | --- |
| 31.56 | 2.835 | 38 | 1 1 0 |
| 34.98 | 2.565 | 44 | 1 0 4 |
| 37.38 | 2.406 | 68 | 0 2 1 |
| 38.90 | 2.315 | 100 | 1 1 3 |
| 39.65 | 2.273 | 41 | 2 0 2 |
| 41.80 | 2.161 | 33 | 0 1 5 |
| 58.43 | 1.579 | 20 | 2 1 4 |
| 61.16 | 1.515 | 26 | 3 0 3 |
| 65.89 | 1.418 | 30 | 2 2 0 |
| 73.90 | 1.282 | 21 | 2 0 8 |

Unit cell a=5.6701 b=5.6701 c=12.0317 alpha=90.00 beta=90.00 gamma=120.00
Space group R-3m (No. 166, hexagonal axes)
One atom of each set of equivalent atoms:
Sm: 0.0000 0.0000 0.1287 (multiplicity 6)
Ge: 0.0000 0.0000 0.5000 (multiplicity 3)
Rh: 0.0000 0.5000 0.0000 (multiplicity 9)

***

Diffraction record for HfAs2. The X-ray diffraction stick pattern is computed, not measured: it uses DFT lattice parameters and positions (PBE) and CuKα.

Main lines, in order of rising 2θ (10° ≤ 2θ ≤ 90°):
| 2θ/deg | d [Å] | Rel. int. | (hkl) |
| --- | --- | --- | --- |
| 23.62 | 3.766 | 29 | 1 0 2 |
| 25.97 | 3.431 | 32 | 0 1 1 |
| 32.51 | 2.754 | 25 | 1 0 3 |
| 35.74 | 2.512 | 44 | 2 1 0 |
| 37.15 | 2.420 | 66 | 2 1 1 |
| 40.81 | 2.211 | 100 | 1 1 3 |
| 42.16 | 2.143 | 21 | 1 0 4 |
| 44.57 | 2.033 | 40 | 3 0 2 |
| 49.12 | 1.855 | 28 | 0 2 0 |
| 68.48 | 1.370 | 22 | 3 2 2 |

Unit cell a=6.830 b=3.709 c=9.030 alpha=90.00 beta=90.00 gamma=90.00
Space group Pnma (No. 62)
One atom of each set of equivalent atoms:
Hf: 0.228 0.250 0.162 (multiplicity 4)
As: 0.080 0.250 0.853 (multiplicity 4)
As: 0.120 0.250 0.457 (multiplicity 4)

***

Diffraction record for BaGd2Sc2O7. The X-ray diffraction stick pattern is computed, not measured: it uses DFT lattice parameters and positions (PBE) and CuKα.

Main lines, in order of rising 2θ (10° ≤ 2θ ≤ 90°):
| 2θ/deg | d [Å] | Rel. int. | (hkl) |
| --- | --- | --- | --- |
| 22.02 | 4.037 | 27 | 1 1 1 |
| 25.39 | 3.509 | 10 | 1 1 3 |
| 26.66 | 3.344 | 16 | 0 0 6 |
| 30.68 | 2.914 | 58 | 2 0 0 |
| 31.11 | 2.875 | 100 | 1 1 5 |
| 41.08 | 2.197 | 23 | 2 0 6 |
| 43.94 | 2.061 | 30 | 2 2 0 |
| 54.81 | 1.675 | 35 | 3 1 5 |
| 55.06 | 1.668 | 13 | 1 1 11 |
| 55.61 | 1.653 | 15 | 2 0 10 |

Unit cell a=5.828 b=5.828 c=20.064 alpha=90.00 beta=90.00 gamma=90.00
Space group P4_2/mnm (No. 136)
One atom of each set of equivalent atoms:
Ba: 0.236 0.236 0.000 (multiplicity 4)
Gd: 0.217 0.217 0.186 (multiplicity 8)
Sc: 0.238 0.238 0.396 (multiplicity 8)
O: 0.000 0.000 0.096 (multiplicity 4)
O: 0.000 0.000 0.366 (multiplicity 4)
O: 0.000 0.500 0.117 (multiplicity 8)
O: 0.179 0.821 0.213 (multiplicity 8)
O: 0.213 0.213 0.500 (multiplicity 4)

***

Q: Which formula does entry 1 have?
A: Y2Ge2O7